Diffraction record for LiPmY. The powder diffraction line list is calculated, not measured: it uses a structure optimized by DFT (GGA-PBE) and Cu Ka.
Kinematic intensities with the Lorentz-polarization factor, no thermal factor.

Most intense lines, 2θ from 5° to 70°, most intense first:
h k l, 2θ (°), I_rel
1 0 1, 31.11, 100
0 0 1, 10.55, 75
0 1 2, 36.34, 62
1 0 4, 52.94, 31
0 0 3, 32.01, 24
1 0 0, 29.18, 24

Structural model:
Cell: 3.5335 3.5335 8.3877 Å, 90.00 90.00 120.00°
Atoms (fractional coordinates):
Li (0.0000, 0.0000, 0.0000)
Pm (0.6667, 0.3333, 0.3325)
Y (0.3333, 0.6667, 0.6756)